[1]
# K2H17Ru2S4O24
Calculated powder X-ray diffraction pattern, λ = 1.5418 Å (Cu Kα). Input: a structure optimized by DFT (GGA-PBE).

Peak list (12 most intense, 2θ from 15° to 90°, most intense first)
2θ/deg, intensity
28.6, 1000
17.5, 804
21.4, 533
20.2, 531
16.8, 529
25.0, 456
31.5, 421
32.7, 373
22.4, 344
41.0, 344
26.3, 326
30.6, 313

Crystal structure
Cell lengths 9.134, 9.252, 9.646 Å; angles 68.90, 66.08, 77.18 degrees
Fractional coordinates of all 49 atoms:
K  0.059  0.498  0.287
K  0.941  0.502  0.713
H  0.000  0.500  0.000
H  0.161  0.924  0.851
H  0.258  0.982  0.225
H  0.293  0.769  0.486
H  0.332  0.487  0.512
H  0.350  0.372  0.928
H  0.362  0.113  0.196
H  0.376  0.377  0.991
H  0.403  0.612  0.353
H  0.597  0.388  0.647
H  0.624  0.623  0.009
H  0.638  0.887  0.804
H  0.650  0.628  0.072
H  0.668  0.513  0.488
H  0.707  0.231  0.514
H  0.742  0.018  0.775
H  0.839  0.076  0.149
Ru  0.388  0.908  0.445
Ru  0.612  0.092  0.555
S  0.062  0.082  0.683
S  0.483  0.309  0.290
S  0.517  0.691  0.710
S  0.938  0.918  0.317
O  0.048  0.251  0.623
O  0.050  0.618  0.894
O  0.089  0.989  0.223
O  0.122  0.681  0.954
O  0.158  0.038  0.800
O  0.159  0.013  0.551
O  0.308  0.551  0.415
O  0.350  0.309  0.240
O  0.364  0.999  0.224
O  0.403  0.335  0.676
O  0.426  0.223  0.608
O  0.457  0.861  0.640
O  0.543  0.139  0.360
O  0.574  0.777  0.392
O  0.597  0.665  0.324
O  0.636  0.001  0.776
O  0.650  0.691  0.760
O  0.692  0.449  0.585
O  0.841  0.987  0.449
O  0.842  0.962  0.200
O  0.878  0.319  0.046
O  0.911  0.011  0.777
O  0.950  0.382  0.106
O  0.952  0.749  0.377

[2]
# K5H3S4O18
Calculated powder X-ray diffraction pattern, λ = 1.5418 Å (Cu Kα). Input: a structure optimized by DFT (GGA-PBE).

Peak list (12 most intense, 2θ from 15° to 90°, most intense first)
2θ/deg, intensity
26.4, 1000
26.2, 686
31.5, 531
24.8, 471
24.9, 456
25.4, 411
30.1, 328
27.5, 295
28.7, 275
18.8, 269
19.4, 269
31.0, 251

Crystal structure
Cell lengths 8.844, 10.810, 9.998 Å; angles 90.00, 104.90, 90.00 degrees
Fractional coordinates of all 60 atoms:
K  0.005  0.000  0.237
K  0.205  0.895  0.812
K  0.245  0.623  0.498
K  0.285  0.353  0.186
K  0.488  0.251  0.762
K  0.512  0.751  0.238
K  0.715  0.853  0.814
K  0.755  0.123  0.502
K  0.795  0.395  0.188
K  0.995  0.500  0.763
H  0.125  0.220  0.711
H  0.247  0.108  0.505
H  0.375  0.033  0.286
H  0.625  0.533  0.714
H  0.753  0.608  0.495
H  0.875  0.720  0.289
S  0.048  0.672  0.079
S  0.094  0.295  0.457
S  0.411  0.949  0.545
S  0.452  0.577  0.922
S  0.548  0.077  0.078
S  0.589  0.449  0.455
S  0.906  0.795  0.543
S  0.952  0.172  0.921
O  0.031  0.712  0.622
O  0.033  0.538  0.063
O  0.049  0.739  0.952
O  0.070  0.320  0.598
O  0.100  0.411  0.382
O  0.125  0.226  0.905
O  0.165  0.713  0.203
O  0.170  0.161  0.793
O  0.246  0.008  0.529
O  0.251  0.229  0.476
O  0.328  0.089  0.205
O  0.336  0.536  0.798
O  0.375  0.023  0.093
O  0.408  0.833  0.619
O  0.430  0.928  0.402
O  0.450  0.511  0.049
O  0.467  0.711  0.938
O  0.471  0.537  0.378
O  0.529  0.037  0.622
O  0.533  0.211  0.062
O  0.550  0.011  0.951
O  0.570  0.428  0.598
O  0.592  0.333  0.381
O  0.625  0.523  0.907
O  0.664  0.036  0.202
O  0.672  0.589  0.795
O  0.749  0.729  0.524
O  0.754  0.508  0.471
O  0.830  0.661  0.207
O  0.835  0.213  0.797
O  0.875  0.726  0.095
O  0.900  0.911  0.618
O  0.930  0.820  0.402
O  0.951  0.239  0.048
O  0.967  0.038  0.937
O  0.969  0.212  0.378

[3]
# K3HS2O8
Calculated powder X-ray diffraction pattern, λ = 1.5418 Å (Cu Kα). Input: a structure optimized by DFT (GGA-PBE).

Peak list (12 most intense, 2θ from 15° to 90°, most intense first)
2θ/deg, intensity
27.5, 1000
31.6, 720
26.3, 594
40.8, 511
30.6, 462
18.0, 218
36.8, 176
44.3, 169
43.9, 137
65.9, 124
40.2, 113
56.8, 111

Crystal structure
Cell lengths 5.684, 5.684, 7.804 Å; angles 107.16, 107.16, 61.79 degrees
Fractional coordinates of all 14 atoms:
K  0.000  0.000  0.000
K  0.203  0.203  0.612
K  0.797  0.797  0.388
H  0.500  0.500  0.000
S  0.420  0.420  0.233
S  0.580  0.580  0.767
O  0.282  0.282  0.271
O  0.283  0.703  0.700
O  0.297  0.717  0.300
O  0.381  0.381  0.021
O  0.619  0.619  0.979
O  0.703  0.283  0.700
O  0.717  0.297  0.300
O  0.718  0.718  0.729

[4]
# K5H3S5O14
Calculated powder X-ray diffraction pattern, λ = 1.5418 Å (Cu Kα). Input: a structure optimized by DFT (GGA-PBE).

Peak list (12 most intense, 2θ from 15° to 90°, most intense first)
2θ/deg, intensity
26.8, 1000
29.0, 650
25.1, 405
23.9, 391
29.9, 357
41.5, 310
21.8, 251
40.9, 245
26.4, 229
40.3, 223
52.5, 174
37.9, 126

Crystal structure
Cell lengths 10.781, 10.781, 15.011 Å; angles 103.91, 103.91, 32.23 degrees
Fractional coordinates of all 54 atoms:
K  0.000  0.000  0.000
K  0.000  0.000  0.500
K  0.207  0.207  0.129
K  0.222  0.222  0.614
K  0.415  0.415  0.284
K  0.424  0.424  0.803
K  0.576  0.576  0.197
K  0.585  0.585  0.716
K  0.778  0.778  0.386
K  0.793  0.793  0.871
H  0.114  0.114  0.857
H  0.331  0.331  0.035
H  0.406  0.406  0.574
H  0.594  0.594  0.426
H  0.669  0.669  0.965
H  0.886  0.886  0.143
S  0.045  0.045  0.288
S  0.159  0.159  0.343
S  0.178  0.178  0.849
S  0.370  0.370  0.485
S  0.393  0.393  0.017
S  0.607  0.607  0.983
S  0.630  0.630  0.515
S  0.822  0.822  0.151
S  0.841  0.841  0.657
S  0.955  0.955  0.712
O  0.022  0.611  0.203
O  0.033  0.618  0.705
O  0.034  0.034  0.186
O  0.186  0.596  0.445
O  0.186  0.773  0.677
O  0.191  0.599  0.963
O  0.221  0.221  0.942
O  0.227  0.814  0.323
O  0.299  0.299  0.484
O  0.382  0.967  0.295
O  0.389  0.978  0.797
O  0.401  0.809  0.037
O  0.404  0.814  0.555
O  0.441  0.441  0.107
O  0.559  0.559  0.893
O  0.596  0.186  0.445
O  0.599  0.191  0.963
O  0.611  0.022  0.203
O  0.618  0.033  0.705
O  0.701  0.701  0.516
O  0.773  0.186  0.677
O  0.779  0.779  0.058
O  0.809  0.401  0.037
O  0.814  0.227  0.323
O  0.814  0.404  0.555
O  0.966  0.966  0.814
O  0.967  0.382  0.295
O  0.978  0.389  0.797

[5]
# KHS2O7
Calculated powder X-ray diffraction pattern, λ = 1.5418 Å (Cu Kα). Input: a structure optimized by DFT (GGA-PBE).

Peak list (12 most intense, 2θ from 15° to 90°, most intense first)
2θ/deg, intensity
21.1, 1000
27.7, 741
19.7, 686
27.8, 436
32.7, 406
37.4, 246
29.3, 219
25.4, 211
32.4, 192
27.0, 187
16.0, 180
26.8, 179

Crystal structure
Cell lengths 7.388, 10.885, 8.504 Å; angles 90.00, 109.16, 90.00 degrees
Fractional coordinates of all 44 atoms:
K  0.157  0.205  0.036
K  0.157  0.295  0.536
K  0.843  0.705  0.464
K  0.843  0.795  0.964
H  0.400  0.550  0.213
H  0.400  0.950  0.713
H  0.600  0.050  0.287
H  0.600  0.450  0.787
S  0.174  0.557  0.886
S  0.174  0.943  0.386
S  0.405  0.599  0.670
S  0.405  0.901  0.170
S  0.595  0.099  0.830
S  0.595  0.401  0.330
S  0.826  0.057  0.614
S  0.826  0.443  0.114
O  0.011  0.628  0.787
O  0.011  0.872  0.287
O  0.176  0.072  0.342
O  0.176  0.428  0.842
O  0.227  0.600  0.535
O  0.227  0.900  0.035
O  0.231  0.584  0.064
O  0.231  0.916  0.564
O  0.369  0.622  0.844
O  0.369  0.878  0.344
O  0.444  0.184  0.824
O  0.444  0.316  0.324
O  0.480  0.036  0.183
O  0.480  0.464  0.683
O  0.520  0.536  0.317
O  0.520  0.964  0.817
O  0.556  0.684  0.676
O  0.556  0.816  0.176
O  0.631  0.122  0.656
O  0.631  0.378  0.156
O  0.769  0.084  0.436
O  0.769  0.416  0.936
O  0.773  0.100  0.965
O  0.773  0.400  0.465
O  0.824  0.572  0.158
O  0.824  0.928  0.658
O  0.989  0.128  0.713
O  0.989  0.372  0.213